1.
# NdEr3S6
Simulated powder diffractogram, copper Kα. Input: a PBE-relaxed structure.
Neutral-atom scattering factors, no anomalous dispersion.

Cell and atoms:
Lattice parameters (Å, degrees): 11.045 3.967 11.280 90.00 108.75 90.00
Space group P2_1/m (No. 11)
Symmetry-distinct sites (fractional):
Nd (0.048, 0.250, 0.194)
Er (0.161, 0.250, 0.586)
Er (0.320, 0.750, 0.998)
Er (0.438, 0.250, 0.333)
S (0.082, 0.750, 0.406)
S (0.118, 0.250, 0.964)
S (0.195, 0.750, 0.748)
S (0.263, 0.750, 0.227)
S (0.396, 0.250, 0.561)
S (0.477, 0.250, 0.112)

Most intense lines, 15° ≤ 2θ ≤ 90°, by angle:
Position (°2θ)  I (rel.)  index
23.7  793  1 0 -3
24.2  1000  3 0 -1
26.3  656  1 1 1
27.4  456  2 0 2
27.7  495  1 1 -2
31.0  696  2 1 1
34.2  524  3 1 0
42.4  743  4 1 -3
44.0  396  1 1 4
45.7  499  0 2 0

2.
# NdErTl2
Simulated powder diffractogram, copper Kα. Input: a PBE-relaxed structure.
Neutral-atom scattering factors, no anomalous dispersion.

Cell and atoms:
Lattice parameters (Å, degrees): 7.688 7.688 7.688 90.00 90.00 90.00
Space group Fm-3m (No. 225)
Symmetry-distinct sites (fractional):
Nd (0.000, 0.000, 0.000)
Er (0.000, 0.000, 0.500)
Tl (0.250, 0.250, 0.250)

Most intense lines, 15° ≤ 2θ ≤ 90°, by angle:
Position (°2θ)  I (rel.)  index
23.1  18  2 0 0
33.0  1000  2 2 0
40.7  6  2 2 2
47.3  185  4 0 0
53.3  9  4 2 0
58.8  387  4 2 2
69.1  120  4 4 0
78.7  168  6 2 0
88.0  44  4 4 4

3.
# ErNi2
Simulated powder diffractogram, copper Kα. Input: a PBE-relaxed structure.
Neutral-atom scattering factors, no anomalous dispersion.

Cell and atoms:
Lattice parameters (Å, degrees): 7.114 7.114 7.114 90.00 90.00 90.00
Space group Fd-3m (No. 227, origin choice 2)
Symmetry-distinct sites (fractional):
Er (0.125, 0.125, 0.125)
Ni (0.000, 0.000, 0.500)

Most intense lines, 15° ≤ 2θ ≤ 90°, by angle:
Position (°2θ)  I (rel.)  index
21.6  144  1 1 1
35.7  654  2 2 0
42.1  1000  3 1 1
44.1  147  2 2 2
56.4  38  3 3 1
64.1  240  4 2 2
68.5  304  5 1 1
75.6  223  4 4 0
79.8  31  5 3 1
86.5  108  6 2 0

4.
# Er2Ni7
Simulated powder diffractogram, copper Kα. Input: a PBE-relaxed structure.
Neutral-atom scattering factors, no anomalous dispersion.

Cell and atoms:
Lattice parameters (Å, degrees): 4.9072 4.9072 24.0039 90.00 90.00 120.00
Space group P6_3/mmc (No. 194)
Symmetry-distinct sites (fractional):
Er (0.3333, 0.6667, 0.0289)
Er (0.3333, 0.6667, 0.1730)
Ni (0.0000, 0.0000, 0.0000)
Ni (0.0000, 0.0000, 0.1673)
Ni (0.1664, 0.3327, 0.7500)
Ni (0.1678, 0.3356, 0.5847)
Ni (0.3333, 0.6667, 0.6669)

Most intense lines, 15° ≤ 2θ ≤ 90°, by angle:
Position (°2θ)  I (rel.)  index
33.6  663  1 0 7
36.6  533  1 1 0
42.7  312  2 0 1
43.3  1000  1 1 6
45.3  148  0 0 12
46.8  217  2 0 5
64.0  219  2 1 7
67.2  152  2 0 13
70.5  250  3 0 6
77.9  211  2 2 0

5.
# Er3Ni
Simulated powder diffractogram, copper Kα. Input: a PBE-relaxed structure.
Neutral-atom scattering factors, no anomalous dispersion.

Cell and atoms:
Lattice parameters (Å, degrees): 6.754 9.456 6.271 90.00 90.00 90.00
Space group Pnma (No. 62)
Symmetry-distinct sites (fractional):
Er (0.033, 0.250, 0.139)
Er (0.179, 0.066, 0.679)
Ni (0.108, 0.750, 0.443)

Most intense lines, 15° ≤ 2θ ≤ 90°, by angle:
Position (°2θ)  I (rel.)  index
31.5  862  1 0 2
31.8  1000  0 3 1
32.6  587  2 2 0
32.9  693  1 1 2
34.5  356  1 3 1
35.7  531  2 2 1
39.1  225  2 3 0
49.6  263  1 2 3
54.4  239  1 3 3
58.3  297  3 3 2

6.
# ErNi
Simulated powder diffractogram, copper Kα. Input: a PBE-relaxed structure.
Neutral-atom scattering factors, no anomalous dispersion.

Cell and atoms:
Lattice parameters (Å, degrees): 7.013 4.082 5.387 90.00 90.00 90.00
Space group Pnma (No. 62)
Symmetry-distinct sites (fractional):
Er (0.179, 0.250, 0.130)
Ni (0.038, 0.250, 0.625)

Most intense lines, 15° ≤ 2θ ≤ 90°, by angle:
Position (°2θ)  I (rel.)  index
27.4  304  0 1 1
30.3  715  1 1 1
30.4  225  2 0 1
33.7  817  2 1 0
35.7  753  1 0 2
37.7  659  2 1 1
42.2  1000  3 0 1
44.4  403  0 2 0
58.2  367  1 2 2
62.9  223  3 2 1

7.
# Er2Ni7
Simulated powder diffractogram, copper Kα. Input: a PBE-relaxed structure.
Neutral-atom scattering factors, no anomalous dispersion.

Cell and atoms:
Lattice parameters (Å, degrees): 4.9120 4.9120 35.9919 90.00 90.00 120.00
Space group R-3m (No. 166, hexagonal axes)
Symmetry-distinct sites (fractional):
Er (0.0000, 0.0000, 0.0507)
Er (0.0000, 0.0000, 0.1473)
Ni (0.0000, 0.0000, 0.2782)
Ni (0.0000, 0.0000, 0.3884)
Ni (0.0000, 0.0000, 0.5000)
Ni (0.0000, 0.5000, 0.0000)
Ni (0.0012, 0.5006, 0.8901)

Most intense lines, 15° ≤ 2θ ≤ 90°, by angle:
Position (°2θ)  I (rel.)  index
32.6  453  1 0 10
34.6  357  0 1 11
36.6  513  1 1 0
42.6  361  0 2 1
43.2  1000  1 1 9
45.4  145  0 0 18
63.4  138  2 1 10
66.5  116  1 1 21
70.5  222  3 0 9
77.8  208  2 2 0

8.
# Er2Ni17
Simulated powder diffractogram, copper Kα. Input: a PBE-relaxed structure.
Neutral-atom scattering factors, no anomalous dispersion.

Cell and atoms:
Lattice parameters (Å, degrees): 8.2482 8.2482 7.9938 90.00 90.00 120.00
Space group P6_3/mmc (No. 194)
Symmetry-distinct sites (fractional):
Er (0.0000, 0.0000, 0.2500)
Er (0.3333, 0.6667, 0.2500)
Ni (0.0000, 0.5000, 0.0000)
Ni (0.0422, 0.3698, 0.7500)
Ni (0.1654, 0.3308, 0.0215)
Ni (0.3333, 0.6667, 0.6014)

Most intense lines, 15° ≤ 2θ ≤ 90°, by angle:
Position (°2θ)  I (rel.)  index
31.2  370  1 1 2
37.8  421  3 0 0
42.3  391  2 0 3
43.9  619  2 2 0
44.3  1000  3 0 2
45.4  312  0 0 4
49.8  199  2 2 2
65.0  167  2 2 4
80.7  189  6 0 0
83.1  200  3 0 6

> Number 5 is which compound?

Er3Ni